Structure and simulated XRD peak list of Pr2Y12Ho5 (a GGA-PBE-relaxed structure; a wavelength of 1.5418 Å).
Neutral-atom scattering factors, no anomalous dispersion.

Structural model:
```
data_Pr2Y12Ho5
_chemical_formula_sum 'Pr2 Y12 Ho5'
_symmetry_space_group_name_H-M 'P 1'
_symmetry_Int_Tables_number 1
_cell_length_a 6.5418
_cell_length_b 8.6960
_cell_length_c 11.8097
_cell_angle_alpha 89.02
_cell_angle_beta 87.35
_cell_angle_gamma 67.98
loop_
_symmetry_equiv_pos_as_xyz
'x,y,z'
loop_
_atom_site_label
_atom_site_type_symbol
_atom_site_fract_x
_atom_site_fract_y
_atom_site_fract_z
Pr1 Pr 0.0000 0.0000 0.0000
Pr2 Pr 0.4398 0.1183 0.0002
Y1 Y 0.0062 0.6307 0.8805
Y2 Y 0.0813 0.8214 0.4994
Y3 Y 0.1455 0.4439 0.3755
Y4 Y 0.3577 0.6317 0.1204
Y5 Y 0.3635 0.8220 0.7670
Y6 Y 0.4822 0.0212 0.4997
Y7 Y 0.6188 0.4161 0.8823
Y8 Y 0.6223 0.2348 0.2376
Y9 Y 0.7603 0.0253 0.7386
Y10 Y 0.8029 0.8199 0.2299
Y11 Y 0.8835 0.2173 0.5011
Y12 Y 0.9628 0.4133 0.1166
Ho1 Ho 0.1366 0.2347 0.7627
Ho2 Ho 0.2037 0.0248 0.2618
Ho3 Ho 0.3956 0.4477 0.6263
Ho4 Ho 0.5719 0.5933 0.3794
Ho5 Ho 0.8238 0.5911 0.6234
```

Main lines, in order of rising 2θ (15° ≤ 2θ ≤ 90°):
2θ/deg	I_rel	h k l
30.85	550	1 2 3
31.96	1000	2 1 -2
32.03	472	1 3 -1
32.32	589	0 1 -4
32.66	549	2 0 2
44.73	155	-1 1 5
45.25	128	3 3 1
47.50	181	1 -3 3
56.94	233	3 4 -3
63.71	125	3 4 5